# 1
Simulated powder XRD pattern of LiAc2S3 for Cu Kα (weighted mean of Kα1 and Kα2), from the GGA-PBE geometry in Alexandria.
Neutral-atom scattering factors, no anomalous dispersion.

Unit cell a=8.588 b=8.588 c=8.588 alpha=152.50 beta=149.08 gamma=41.85
Positions (direct):
Li  0.000  0.000  0.000
Ac  0.360  0.360  0.000
Ac  0.640  0.640  0.000
S  0.170  0.170  0.000
S  0.500  0.000  0.500
S  0.830  0.830  0.000

The 10 most intense peaks (2θ = 5–70°), sorted by position:
Position (°2θ), I_rel
20.2, 81
22.2, 67
22.5, 34
25.6, 50
27.5, 65
29.3, 99
37.1, 100
39.4, 29
44.2, 28
48.7, 29


# 2
Simulated powder XRD pattern of Ni2Se4Cl for Cu Kα (weighted mean of Kα1 and Kα2), from the GGA-PBE geometry in Alexandria.
Neutral-atom scattering factors, no anomalous dispersion.

Unit cell a=7.128 b=7.128 c=8.011 alpha=122.50 beta=122.50 gamma=77.74
Positions (direct):
Ni  0.000  0.000  0.000
Ni  0.000  0.000  0.500
Ni  0.000  0.500  0.000
Ni  0.500  0.000  0.500
Se  0.163  0.188  0.420
Se  0.188  0.163  0.920
Se  0.257  0.732  0.420
Se  0.268  0.743  0.080
Se  0.732  0.257  0.920
Se  0.743  0.268  0.580
Se  0.812  0.837  0.080
Se  0.837  0.812  0.580
Cl  0.376  0.624  0.750
Cl  0.624  0.376  0.250

The 10 most intense peaks (2θ = 5–70°), sorted by position:
Position (°2θ), I_rel
14.8, 100
22.2, 22
29.9, 28
30.8, 31
32.0, 63
32.3, 36
40.3, 34
41.0, 47
42.7, 40
52.6, 25